[1]
Diffraction record for Mg6Hg5Pt. The X-ray powder pattern is calculated, not measured: it uses a cell relaxed with PBE and Cu Ka.

Principal peaks in the range 10 to 90 degrees two-theta, sorted by position:
| index | 2θ (°) | I/Imax |
| --- | --- | --- |
| 1 0 1 | 25.50 | 75 |
| 1 0 -2 | 25.87 | 73 |
| 0 2 0 | 26.57 | 68 |
| 2 0 -1 | 36.64 | 100 |
| 1 2 1 | 37.16 | 96 |
| 1 2 -2 | 37.43 | 95 |
| 0 2 3 | 45.83 | 65 |
| 2 0 2 | 52.38 | 18 |
| 3 2 0 | 66.08 | 18 |
| 1 2 4 | 66.19 | 17 |
| 3 2 -3 | 66.62 | 18 |
| 2 4 -1 | 67.67 | 33 |

Atomic structure:
```
data_Mg6Hg5Pt
_cell_length_a 4.911
_cell_length_b 6.709
_cell_length_c 7.716
_cell_angle_alpha 90.00
_cell_angle_beta 107.73
_cell_angle_gamma 90.00
_symmetry_space_group_name_H-M 'P 1 2/m 1'
_symmetry_Int_Tables_number 10
loop_
_symmetry_equiv_pos_as_xyz
'x,y,z'
'-x,-y,-z'
'-x,y,-z'
'x,-y,z'
loop_
_atom_site_label
_atom_site_type_symbol
_atom_site_fract_x
_atom_site_fract_y
_atom_site_fract_z
Mg1 Mg 0.000 0.230 0.000
Mg2 Mg 0.341 0.240 0.687
Hg1 Hg 0.173 0.000 0.340
Hg2 Hg 0.173 0.500 0.342
Hg3 Hg 0.500 0.500 0.000
Pt1 Pt 0.500 0.000 0.000
```

---

[2]
Diffraction record for Mg6HgPt2. The X-ray powder pattern is calculated, not measured: it uses a cell relaxed with PBE and Cu Ka.

Principal peaks in the range 10 to 90 degrees two-theta, sorted by position:
| index | 2θ (°) | I/Imax |
| --- | --- | --- |
| 0 0 2 | 17.36 | 47 |
| 2 0 0 | 20.99 | 100 |
| 1 2 1 | 25.08 | 33 |
| 2 0 2 | 27.37 | 23 |
| 1 0 3 | 28.25 | 36 |
| 2 1 3 | 35.46 | 30 |
| 1 3 2 | 37.94 | 61 |
| 1 1 4 | 38.31 | 23 |
| 2 3 1 | 39.37 | 49 |
| 4 0 0 | 42.72 | 26 |
| 3 3 2 | 49.01 | 20 |
| 1 3 4 | 49.31 | 47 |

Atomic structure:
```
data_Mg6HgPt2
_cell_length_a 8.464
_cell_length_b 8.469
_cell_length_c 10.216
_cell_angle_alpha 90.00
_cell_angle_beta 90.00
_cell_angle_gamma 90.00
_symmetry_space_group_name_H-M 'I m m m'
_symmetry_Int_Tables_number 71
_symmetry_space_group_name_Hall '-I 2 2'
loop_
_atom_site_label
_atom_site_type_symbol
_atom_site_fract_x
_atom_site_fract_y
_atom_site_fract_z
Mg1 Mg 0.000 0.206 0.245
Mg2 Mg 0.195 0.500 0.159
Mg3 Mg 0.203 0.312 0.500
Hg1 Hg 0.000 0.000 0.000
Hg2 Hg 0.000 0.000 0.500
Pt1 Pt 0.000 0.328 0.000
Pt2 Pt 0.000 0.500 0.361
```